# 1
# Zn3CrN3
Simulated powder XRD pattern, copper Kα. Input: a GGA-PBE-relaxed structure.

Most intense lines, 15 to 90 degrees two-theta, in order of rising 2θ:
two_theta	I (rel.)
31.38	50.3
37.30	100.0
39.91	35.2
41.93	8.3
51.63	22.2
52.22	4.8
55.87	30.3
59.26	5.5
69.11	13.3
70.81	42.1

Structure:
```
Zn3CrN3
1.0
6.583 0.000 0.000
-3.291 5.701 0.000
0.000 0.000 4.518
Zn Cr N
6 2 6
Direct
0.182 0.364 0.250
0.182 0.818 0.250
0.364 0.182 0.750
0.636 0.818 0.250
0.818 0.182 0.750
0.818 0.636 0.750
0.333 0.667 0.750
0.667 0.333 0.250
0.178 0.355 0.750
0.178 0.822 0.750
0.355 0.178 0.250
0.645 0.822 0.750
0.822 0.178 0.250
0.822 0.645 0.250
```

=====

# 2
# Zr2CrN3
Simulated powder XRD pattern, copper Kα. Input: a GGA-PBE-relaxed structure.

Most intense lines, 15 to 90 degrees two-theta, in order of rising 2θ:
two_theta	I (rel.)
33.32	82.4
36.53	83.9
38.23	100.0
44.99	27.7
49.05	22.3
50.58	25.4
59.54	14.9
60.48	34.8
63.99	30.9
69.97	32.4

Structure:
```
Zr2CrN3
1.0
-1.553 1.805 6.045
1.553 -1.805 6.045
1.553 1.805 -6.045
Zr Cr N
2 1 3
Direct
0.150 0.150 0.000
0.850 0.850 0.000
0.500 0.500 0.000
0.000 0.500 0.500
0.331 0.331 0.000
0.669 0.669 0.000
```

=====

What is the formula in the first record?
Zn3CrN3